No. 1
Starting from a GGA-PBE-relaxed structure, the XRD peak list of Rb3Cu2Br8 was computed for Cu Kα X-rays.

Structure:
```
Rb3Cu2Br8
1.0
3.610 2.084 10.141
-3.610 2.084 10.141
0.000 -4.168 10.141
Rb Cu Br
3 2 8
Cartesian
0.000 0.000 0.000
0.000 0.000 6.403
0.000 0.000 24.021
0.000 0.000 12.229
0.000 0.000 18.195
-1.864 -1.076 17.151
0.000 -2.153 13.273
-1.864 1.076 13.273
0.000 0.000 9.877
0.000 0.000 20.547
1.864 -1.076 17.151
0.000 2.153 17.151
1.864 1.076 13.273
```

Largest 12 diffraction maxima, by intensity, 2θ = 5–70°:
29.16 deg, intensity 100
24.66 deg, intensity 70
32.19 deg, intensity 67
50.57 deg, intensity 65
26.36 deg, intensity 62
30.93 deg, intensity 51
43.70 deg, intensity 49
32.74 deg, intensity 41
26.20 deg, intensity 39
57.92 deg, intensity 39
51.69 deg, intensity 38
35.37 deg, intensity 32

---

No. 2
Starting from a GGA-PBE-relaxed structure, the XRD peak list of RbCu4Br8 was computed for Cu Kα X-rays.

Structure:
```
RbCu4Br8
1.0
3.778 2.181 8.382
-3.778 2.181 8.382
0.000 -4.362 8.382
Rb Cu Br
1 4 8
Cartesian
0.000 0.000 0.000
-3.778 0.000 12.573
-1.889 1.091 4.191
1.889 1.091 4.191
0.000 0.000 12.573
0.000 0.000 5.589
-1.874 -1.082 14.036
0.000 -2.164 11.111
-1.874 1.082 11.111
1.874 -1.082 14.036
0.000 2.164 14.036
1.874 1.082 11.111
0.000 0.000 19.557
```

Largest 12 diffraction maxima, by intensity, 2θ = 5–70°:
10.55 deg, intensity 100
30.81 deg, intensity 77
37.17 deg, intensity 36
48.17 deg, intensity 28
48.58 deg, intensity 18
39.77 deg, intensity 14
49.46 deg, intensity 12
58.28 deg, intensity 12
58.63 deg, intensity 9
28.18 deg, intensity 8
62.37 deg, intensity 8
32.65 deg, intensity 7

---

No. 3
Starting from a GGA-PBE-relaxed structure, the XRD peak list of RbCu3Br6 was computed for Cu Kα X-rays.

Structure:
```
RbCu3Br6
1.0
-4.930 7.135 5.491
4.930 -7.135 5.491
4.930 7.135 -5.491
Rb Cu Br
2 6 12
Cartesian
0.000 0.000 2.746
0.000 0.000 8.237
6.022 2.825 0.000
4.930 0.000 2.746
1.093 4.311 0.000
3.837 2.825 5.491
0.000 7.135 2.746
-1.093 4.311 5.491
3.267 -1.502 1.862
0.401 2.137 0.000
6.593 -1.502 3.629
6.593 1.502 1.862
5.330 4.998 0.000
3.267 1.502 3.629
1.663 5.633 1.862
-0.401 2.137 5.491
-1.663 5.633 3.629
-1.663 8.638 1.862
4.529 4.998 5.491
1.663 8.638 3.629
```

Largest 12 diffraction maxima, by intensity, 2θ = 5–70°:
20.71 deg, intensity 100
20.41 deg, intensity 86
17.34 deg, intensity 44
27.86 deg, intensity 42
35.09 deg, intensity 40
28.87 deg, intensity 39
35.92 deg, intensity 29
27.33 deg, intensity 29
37.50 deg, intensity 22
44.77 deg, intensity 22
42.17 deg, intensity 19
19.52 deg, intensity 18

---

No. 4
Starting from a GGA-PBE-relaxed structure, the XRD peak list of Rb2CuBr5 was computed for Cu Kα X-rays.

Structure:
```
Rb2CuBr5
1.0
7.274 0.000 0.000
0.000 7.274 0.000
0.000 0.000 5.289
Rb Cu Br
2 1 5
Cartesian
0.000 3.637 0.000
3.637 0.000 0.000
0.000 0.000 2.645
0.000 0.000 0.000
1.764 1.764 2.645
1.764 5.510 2.645
5.510 1.764 2.645
5.510 5.510 2.645
```

Largest 12 diffraction maxima, by intensity, 2θ = 5–70°:
29.81 deg, intensity 100
34.89 deg, intensity 52
12.17 deg, intensity 44
49.43 deg, intensity 38
33.90 deg, intensity 29
59.45 deg, intensity 26
61.93 deg, intensity 19
50.17 deg, intensity 18
24.14 deg, intensity 17
58.15 deg, intensity 14
27.42 deg, intensity 9
16.76 deg, intensity 8

---

No. 5
Starting from a GGA-PBE-relaxed structure, the XRD peak list of RbCuBr6 was computed for Cu Kα X-rays.

Structure:
```
RbCuBr6
1.0
6.337 0.000 0.000
-1.326 7.116 0.000
-1.572 -3.932 6.550
Rb Cu Br
1 1 6
Cartesian
0.000 0.000 0.000
2.383 -1.966 3.275
-1.301 -0.508 5.730
0.736 -0.342 3.737
0.332 3.706 4.983
3.107 -0.521 1.568
2.703 3.526 2.814
4.740 3.693 0.821
```

Largest 12 diffraction maxima, by intensity, 2θ = 5–70°:
23.38 deg, intensity 100
25.07 deg, intensity 70
24.10 deg, intensity 64
31.65 deg, intensity 41
35.34 deg, intensity 38
34.61 deg, intensity 32
14.52 deg, intensity 28
13.84 deg, intensity 23
29.24 deg, intensity 21
45.47 deg, intensity 21
53.40 deg, intensity 19
49.66 deg, intensity 18

---

No. 6
Starting from a GGA-PBE-relaxed structure, the XRD peak list of Rb2Cu2Br5 was computed for Cu Kα X-rays.

Structure:
```
Rb2Cu2Br5
1.0
10.923 0.000 0.000
0.000 3.573 3.573
0.000 -3.573 3.573
Rb Cu Br
2 2 5
Cartesian
0.000 0.000 7.145
5.461 0.000 0.000
2.604 0.000 3.586
8.318 0.000 3.586
0.000 0.000 3.572
3.036 -1.784 1.793
3.036 1.784 1.793
7.887 -1.784 1.793
7.887 1.784 1.793
```

Largest 12 diffraction maxima, by intensity, 2θ = 5–70°:
29.88 deg, intensity 100
35.53 deg, intensity 90
49.13 deg, intensity 54
23.99 deg, intensity 50
32.80 deg, intensity 44
51.13 deg, intensity 31
60.36 deg, intensity 26
62.09 deg, intensity 26
16.23 deg, intensity 22
43.33 deg, intensity 20
48.87 deg, intensity 20
26.24 deg, intensity 17